The following is a theoretical XRD peak list of Ba8Ta7O24. It was derived from DFT lattice parameters and positions (GGA-PBE), using copper Kα.
Peak positions follow from Bragg's law for the DFT cell and can differ from measured ones.

Principal peaks in the range 2θ from 10° to 90°, in order of rising 2θ:
2θ 29.0, I = 66.6, hkl 1 0 5; 2θ 30.2, I = 100.0, hkl 1 1 0; 2θ 33.0, I = 25.5, hkl 1 0 6; 2θ 42.4, I = 33.8, hkl 0 2 5; 2θ 53.0, I = 25.4, hkl 2 1 5; 2θ 53.7, I = 20.4, hkl 3 0 0

a b c (Å): 5.9108 5.9108 19.2342
angles (deg): 90.00 90.00 120.00
Space group P3m1 (No. 156)
Unique sites:
1 Ba 0.0000 0.0000 0.0000 x1
2 Ba 0.0000 0.0000 0.2208 x1
3 Ba 0.0000 0.0000 0.6200 x1
4 Ba 0.3333 0.6667 0.1257 x1
5 Ba 0.3333 0.6667 0.5038 x1
6 Ba 0.3333 0.6667 0.7349 x1
7 Ba 0.6667 0.3333 0.3563 x1
8 Ba 0.6667 0.3333 0.8711 x1
9 Ta 0.0000 0.0000 0.4317 x1
10 Ta 0.0000 0.0000 0.8079 x1
11 Ta 0.3333 0.6667 0.3062 x1
12 Ta 0.3333 0.6667 0.9302 x1
13 Ta 0.6667 0.3333 0.0620 x1
14 Ta 0.6667 0.3333 0.5540 x1
15 Ta 0.6667 0.3333 0.6891 x1
16 O 0.0055 0.5028 0.9867 x3
17 O 0.0213 0.5107 0.2556 x3
18 O 0.1647 0.3295 0.3803 x3
19 O 0.1678 0.3355 0.8668 x3
20 O 0.3264 0.1632 0.4985 x3
21 O 0.3284 0.1642 0.7473 x3
22 O 0.3421 0.1710 0.1074 x3
23 O 0.5065 0.0131 0.6213 x3